Diffraction record for La4TbEr. The X-ray powder pattern is computed, not measured: it uses the GGA-PBE geometry in Alexandria and copper Kα.
No peak broadening, texture or thermal motion is included.

Crystal structure
a = 11.447 Å, b = 6.052 Å, c = 7.155 Å
α = 90.00°, β = 121.90°, γ = 90.00°
Space group C2/m (No. 12)
Asymmetric unit:
La1 0.161 0.000 0.012 [4 per cell]
La2 0.170 0.000 0.526 [4 per cell]
Tb1 0.000 0.500 0.500 [2 per cell]
Er1 0.000 0.500 0.000 [2 per cell]

Main lines, sorted by position (10 to 80 degrees two-theta):
- 2θ 29.41, I 57, (0 0 2)
- 2θ 29.52, I 59, (0 2 0)
- 2θ 31.32, I 100, (3 1 0)
- 2θ 31.45, I 95, (3 1 -2)
- 2θ 42.16, I 43, (0 2 2)
- 2θ 47.67, I 15, (6 0 -2)
- 2θ 53.29, I 21, (3 1 2)
- 2θ 53.55, I 62, (3 3 0)
- 2θ 57.10, I 25, (6 2 -2)
- 2θ 65.35, I 12, (6 2 0)